# 1
Starting from a cell relaxed with GGA-PBE, the powder X-ray diffraction pattern of LiBSe2 was calculated for Cu Kα X-rays.
Peak positions follow from Bragg's law for the DFT cell and can differ from measured ones.

Structural model:
```
LiBSe2
1.0
4.860 -4.080 0.000
4.860 4.080 0.000
-3.534 0.000 4.694
Li B Se
2 2 4
direct
0.249 0.751 0.500
0.751 0.249 0.000
0.139 0.362 0.860
0.362 0.139 0.360
0.143 0.357 0.513
0.357 0.143 0.013
0.579 0.922 0.477
0.922 0.579 0.977
```

Most intense lines, 2θ from 10° to 90°, by angle:
two_theta  d/Å  intensity
15.75  5.625  12
22.91  3.883  65
29.02  3.077  100
30.43  2.938  26
36.40  2.468  10
38.35  2.347  16
38.50  2.339  15
43.44  2.083  10
44.21  2.049  31
46.80  1.941  10
50.54  1.806  7
53.20  1.722  19

=====

# 2
Starting from a cell relaxed with GGA-PBE, the powder X-ray diffraction pattern of LiBSe2 was calculated for Cu Kα X-rays.
Peak positions follow from Bragg's law for the DFT cell and can differ from measured ones.

Structural model:
```
LiBSe2
1.0
4.660 0.000 0.000
-0.005 5.304 0.000
-2.323 -2.516 7.115
Li B Se
2 2 4
direct
0.000 0.000 0.000
0.378 0.458 0.754
0.408 0.746 0.271
0.514 0.712 0.483
0.134 0.518 0.033
0.479 0.940 0.721
0.592 0.047 0.227
0.742 0.410 0.526
```

Most intense lines, 2θ from 10° to 90°, by angle:
two_theta  d/Å  intensity
20.05  4.429  28
25.44  3.501  100
26.82  3.324  29
28.56  3.126  12
33.80  2.652  9
35.51  2.528  17
35.76  2.511  10
35.91  2.501  12
37.01  2.429  16
43.96  2.060  19
46.54  1.951  9
50.54  1.806  11

=====

# 3
Starting from a cell relaxed with GGA-PBE, the powder X-ray diffraction pattern of LiBSe2 was calculated for Cu Kα X-rays.
Peak positions follow from Bragg's law for the DFT cell and can differ from measured ones.

Structural model:
```
LiBSe2
1.0
6.080 0.000 0.000
0.000 8.039 0.000
0.000 0.000 5.990
Li B Se
4 4 8
direct
0.077 0.119 0.000
0.423 0.619 0.500
0.577 0.381 0.000
0.923 0.881 0.500
0.058 0.625 0.989
0.442 0.125 0.489
0.558 0.875 0.989
0.942 0.375 0.489
0.035 0.596 0.640
0.111 0.160 0.583
0.389 0.660 0.083
0.465 0.096 0.140
0.535 0.904 0.640
0.611 0.340 0.583
0.889 0.840 0.083
0.965 0.404 0.140
```

Most intense lines, 2θ from 10° to 90°, by angle:
two_theta  d/Å  intensity
18.29  4.849  16
18.47  4.803  14
26.58  3.353  24
29.38  3.040  18
29.83  2.995  44
30.55  2.926  100
33.04  2.711  31
36.72  2.448  14
40.38  2.234  13
53.41  1.716  20
55.03  1.669  15
59.70  1.549  14

=====

# 4
Starting from a cell relaxed with GGA-PBE, the powder X-ray diffraction pattern of LiSmB12 was calculated for Cu Kα X-rays.
Peak positions follow from Bragg's law for the DFT cell and can differ from measured ones.

Structural model:
```
LiSmB12
1.0
4.131 0.000 0.000
0.000 4.131 0.000
0.000 0.000 8.260
Li Sm B
1 1 12
direct
0.000 0.000 0.000
0.000 0.000 0.500
0.201 0.500 0.251
0.201 0.500 0.749
0.500 0.201 0.251
0.500 0.201 0.749
0.500 0.500 0.101
0.500 0.500 0.400
0.500 0.500 0.600
0.500 0.500 0.899
0.500 0.799 0.251
0.500 0.799 0.749
0.799 0.500 0.251
0.799 0.500 0.749
```

Most intense lines, 2θ from 10° to 90°, by angle:
two_theta  d/Å  intensity
10.71  8.260  100
21.51  4.131  24
24.09  3.695  64
30.61  2.921  71
32.51  2.754  37
37.72  2.385  32
39.32  2.291  18
43.83  2.065  17
45.26  2.004  24
49.33  1.847  34
50.63  1.803  17
68.10  1.377  22

=====

# 5
Starting from a cell relaxed with GGA-PBE, the powder X-ray diffraction pattern of LiSnB was calculated for Cu Kα X-rays.
Peak positions follow from Bragg's law for the DFT cell and can differ from measured ones.

Structural model:
```
LiSnB
1.0
11.725 0.000 0.000
0.000 3.179 0.000
0.000 0.000 6.028
Li Sn B
4 4 4
direct
0.161 0.250 0.177
0.339 0.750 0.677
0.661 0.250 0.323
0.839 0.750 0.823
0.095 0.750 0.628
0.405 0.250 0.128
0.595 0.750 0.872
0.905 0.250 0.372
0.000 0.000 0.000
0.000 0.500 0.000
0.500 0.000 0.500
0.500 0.500 0.500
```

Most intense lines, 2θ from 10° to 90°, by angle:
two_theta  d/Å  intensity
15.11  5.863  51
16.54  5.361  99
21.14  4.203  100
30.63  2.919  35
31.82  2.812  52
32.03  2.795  71
32.75  2.734  28
37.69  2.387  56
39.48  2.283  48
41.31  2.185  26
41.99  2.151  79
57.63  1.599  35

=====

# 6
Starting from a cell relaxed with GGA-PBE, the powder X-ray diffraction pattern of LiSnB was calculated for Cu Kα X-rays.
Peak positions follow from Bragg's law for the DFT cell and can differ from measured ones.

Structural model:
```
LiSnB
1.0
1.573 -2.724 0.000
1.573 2.724 0.000
-0.009 0.000 11.133
Li Sn B
2 2 2
direct
0.000 0.000 0.128
0.000 0.000 0.872
0.332 0.667 0.637
0.333 0.668 0.363
0.333 0.667 0.000
0.667 0.333 0.000
```

Most intense lines, 2θ from 10° to 90°, by angle:
two_theta  d/Å  intensity
23.98  3.711  59
32.16  2.783  31
32.88  2.724  100
33.88  2.646  79
41.10  2.196  86
46.66  1.947  66
58.70  1.573  24
64.33  1.448  23
68.29  1.373  24
68.53  1.369  23
74.16  1.279  16
78.12  1.223  16

=====

# 7
Starting from a cell relaxed with GGA-PBE, the powder X-ray diffraction pattern of LiTaB4 was calculated for Cu Kα X-rays.
Peak positions follow from Bragg's law for the DFT cell and can differ from measured ones.

Structural model:
```
LiTaB4
1.0
3.502 -4.483 0.000
3.502 4.483 0.000
0.000 0.000 3.223
Li Ta B
2 2 8
direct
0.170 0.170 0.000
0.830 0.830 0.000
0.299 0.701 0.000
0.701 0.299 0.000
0.065 0.385 0.500
0.096 0.904 0.500
0.379 0.379 0.500
0.385 0.065 0.500
0.615 0.935 0.500
0.621 0.621 0.500
0.904 0.096 0.500
0.935 0.615 0.500
```

Most intense lines, 2θ from 10° to 90°, by angle:
two_theta  d/Å  intensity
16.06  5.519  42
19.80  4.483  100
25.44  3.502  85
27.68  3.223  54
32.44  2.760  62
32.57  2.749  59
34.26  2.617  59
37.94  2.372  72
43.15  2.096  74
43.26  2.092  72
60.55  1.529  31
67.31  1.391  31

=====

# 8
Starting from a cell relaxed with GGA-PBE, the powder X-ray diffraction pattern of LiBTe was calculated for Cu Kα X-rays.
Peak positions follow from Bragg's law for the DFT cell and can differ from measured ones.

Structural model:
```
LiBTe
1.0
6.413 -1.758 0.000
6.413 1.758 0.000
-0.267 0.000 5.478
Li B Te
2 2 2
direct
0.081 0.081 0.257
0.919 0.919 0.743
0.451 0.451 0.407
0.549 0.549 0.593
0.139 0.139 0.760
0.861 0.861 0.240
```

Most intense lines, 2θ from 10° to 90°, by angle:
two_theta  d/Å  intensity
20.82  4.267  100
21.86  4.067  68
26.28  3.391  39
27.86  3.202  39
30.83  2.900  28
31.20  2.867  46
32.69  2.739  30
33.01  2.714  52
42.14  2.144  19
46.29  1.961  33
47.55  1.912  21
56.66  1.624  24